No. 1
# Tl3Au4
Theoretical PXRD pattern, Cu Kα. Input: a PBE-relaxed structure.

Cell and atoms:
a = 3.9812 Å, b = 15.0214 Å, c = 5.9348 Å
α = 90.00°, β = 108.81°, γ = 90.00°
Fractional positions:
1 Tl 0.0304 0.2500 0.0598
2 Tl 0.3212 0.0994 0.6455
3 Tl 0.3212 0.4006 0.6455
4 Tl 0.6788 0.5994 0.3545
5 Tl 0.6788 0.9006 0.3545
6 Tl 0.9696 0.7500 0.9402
7 Au 0.0000 0.0000 0.0000
8 Au 0.0000 0.5000 0.0000
9 Au 0.2274 0.7500 0.4629
10 Au 0.3932 0.6036 0.7788
11 Au 0.3932 0.8964 0.7788
12 Au 0.6068 0.1036 0.2212
13 Au 0.6068 0.3964 0.2212
14 Au 0.7726 0.2500 0.5371

Most intense lines, 10° ≤ 2θ ≤ 90°, sorted by position:
2θ 32.43, rel. 463
2θ 32.60, rel. 602
2θ 33.06, rel. 620
2θ 33.69, rel. 1000
2θ 33.84, rel. 952
2θ 35.87, rel. 409
2θ 37.34, rel. 537
2θ 37.75, rel. 501
2θ 40.09, rel. 776
2θ 45.58, rel. 617

No. 2
# Zr2TiZn4
Theoretical PXRD pattern, Cu Kα. Input: a PBE-relaxed structure.

Cell and atoms:
a = 4.5870 Å, b = 4.5870 Å, c = 12.4869 Å
α = 90.00°, β = 90.00°, γ = 90.00°
Fractional positions:
1 Zr 0.0000 0.0000 0.2457
2 Zr 0.0000 0.0000 0.7543
3 Zr 0.5000 0.5000 0.2543
4 Zr 0.5000 0.5000 0.7457
5 Ti 0.0000 0.0000 0.5000
6 Ti 0.5000 0.5000 0.0000
7 Zn 0.0000 0.5000 0.1054
8 Zn 0.0000 0.5000 0.3946
9 Zn 0.0000 0.5000 0.6054
10 Zn 0.0000 0.5000 0.8946
11 Zn 0.5000 0.0000 0.1054
12 Zn 0.5000 0.0000 0.3946
13 Zn 0.5000 0.0000 0.6054
14 Zn 0.5000 0.0000 0.8946

Most intense lines, 10° ≤ 2θ ≤ 90°, sorted by position:
2θ 31.07, rel. 374
2θ 39.28, rel. 610
2θ 40.09, rel. 1000
2θ 43.48, rel. 91
2θ 56.77, rel. 198
2θ 60.03, rel. 136
2θ 66.14, rel. 82
2θ 71.75, rel. 328
2θ 73.37, rel. 98
2θ 82.84, rel. 77

No. 3
# Cs2AgBCl6
Theoretical PXRD pattern, Cu Kα. Input: a PBE-relaxed structure.

Cell and atoms:
a = 7.6724 Å, b = 7.6724 Å, c = 7.6724 Å
α = 123.07°, β = 123.07°, γ = 84.75°
Fractional positions:
1 Cs 0.2500 0.7500 0.5000
2 Cs 0.7500 0.2500 0.5000
3 Ag 0.0000 0.0000 0.0000
4 B 0.5000 0.5000 0.0000
5 Cl 0.2108 0.2108 0.0000
6 Cl 0.3076 0.3076 0.6152
7 Cl 0.3076 0.6924 0.0000
8 Cl 0.6924 0.3076 0.0000
9 Cl 0.6924 0.6924 0.3848
10 Cl 0.7892 0.7892 0.0000

Most intense lines, 10° ≤ 2θ ≤ 90°, sorted by position:
2θ 23.29, rel. 1000
2θ 24.34, rel. 476
2θ 28.40, rel. 283
2θ 29.06, rel. 501
2θ 31.57, rel. 329
2θ 34.69, rel. 450
2θ 40.26, rel. 206
2θ 42.20, rel. 277
2θ 47.61, rel. 308
2θ 65.95, rel. 181

No. 4
# La3Se2Br
Theoretical PXRD pattern, Cu Kα. Input: a PBE-relaxed structure.

Cell and atoms:
a = 4.3187 Å, b = 4.3187 Å, c = 10.5615 Å
α = 90.00°, β = 90.00°, γ = 120.00°
Fractional positions:
1 La 0.0000 0.0000 0.0000
2 La 0.3333 0.6667 0.6752
3 La 0.6667 0.3333 0.3248
4 Se 0.3333 0.6667 0.1655
5 Se 0.6667 0.3333 0.8345
6 Br 0.0000 0.0000 0.5000

Most intense lines, 10° ≤ 2θ ≤ 90°, sorted by position:
2θ 25.27, rel. 126
2θ 29.26, rel. 1000
2θ 41.86, rel. 746
2θ 49.53, rel. 64
2θ 51.89, rel. 263
2θ 60.68, rel. 122
2θ 66.78, rel. 20
2θ 68.78, rel. 332
2θ 76.42, rel. 188
2θ 76.52, rel. 60

No. 5
# Sr2Np3N8
Theoretical PXRD pattern, Cu Kα. Input: a PBE-relaxed structure.

Cell and atoms:
a = 6.8974 Å, b = 6.8974 Å, c = 10.9239 Å
α = 90.00°, β = 90.00°, γ = 120.00°
Fractional positions:
1 Sr 0.3333 0.6667 0.0000
2 Sr 0.3333 0.6667 0.3688
3 Sr 0.6667 0.3333 0.5000
4 Sr 0.6667 0.3333 0.8688
5 Np 0.1661 0.3322 0.7110
6 Np 0.1661 0.8339 0.7110
7 Np 0.3322 0.1661 0.2110
8 Np 0.6678 0.8339 0.7110
9 Np 0.8339 0.1661 0.2110
10 Np 0.8339 0.6678 0.2110
11 N 0.0000 0.0000 0.3003
12 N 0.0000 0.0000 0.8003
13 N 0.0643 0.5321 0.8069
14 N 0.1516 0.3033 0.1331
15 N 0.1516 0.8484 0.1331
16 N 0.3033 0.1516 0.6331
17 N 0.3333 0.6667 0.6132
18 N 0.4679 0.5321 0.8069
19 N 0.4679 0.9357 0.8069
20 N 0.5321 0.0643 0.3070
21 N 0.5321 0.4679 0.3070
22 N 0.6667 0.3333 0.1132
23 N 0.6967 0.8484 0.1331
24 N 0.8484 0.1516 0.6331
25 N 0.8484 0.6967 0.6331
26 N 0.9357 0.4679 0.3070

Most intense lines, 10° ≤ 2θ ≤ 90°, sorted by position:
2θ 16.23, rel. 820
2θ 16.92, rel. 248
2θ 22.05, rel. 203
2θ 28.71, rel. 336
2θ 29.92, rel. 244
2θ 30.66, rel. 325
2θ 31.04, rel. 1000
2θ 39.00, rel. 340
2θ 51.85, rel. 338
2θ 53.11, rel. 263

No. 6
# LaAl7Pd5
Theoretical PXRD pattern, Cu Kα. Input: a PBE-relaxed structure.

Cell and atoms:
a = 6.9204 Å, b = 6.9204 Å, c = 6.9204 Å
α = 133.90°, β = 96.74°, γ = 100.91°
Fractional positions:
1 La 0.0000 0.0000 0.0000
2 Al 0.2158 0.5026 0.7132
3 Al 0.3271 0.9773 0.3499
4 Al 0.3442 0.3442 0.0000
5 Al 0.6274 0.9773 0.6501
6 Al 0.6407 0.6407 0.0000
7 Al 0.7608 0.2608 0.5000
8 Al 0.7894 0.5026 0.2868
9 Pd 0.2194 0.7194 0.5000
10 Pd 0.5126 0.4933 0.5159
11 Pd 0.5126 0.9967 0.0193
12 Pd 0.9774 0.4933 0.9807
13 Pd 0.9774 0.9967 0.4841

Most intense lines, 10° ≤ 2θ ≤ 90°, sorted by position:
2θ 20.15, rel. 651
2θ 27.84, rel. 442
2θ 28.05, rel. 620
2θ 38.57, rel. 1000
2θ 39.02, rel. 586
2θ 39.19, rel. 510
2θ 39.49, rel. 447
2θ 40.97, rel. 492
2θ 43.89, rel. 725
2θ 57.52, rel. 417